For K7Au3, a DFT-relaxed cell (PBE, OQMD) gives the computed PXRD pattern in this record (λ = 1.5418 Å (Cu Kα)).

The 10 most intense peaks (10 to 80 degrees two-theta), sorted by position:
(hkl)  2θ/deg  intensity
1 0 1  14.9  67
2 0 0  17.3  31
2 0 1  21.2  100
3 0 0  26.1  31
3 0 1  28.8  49
2 0 2  30.0  44
2 2 0  30.2  54
2 1 2  33.7  32
3 2 1  40.3  37
2 0 3  40.9  29

Crystal structure
```
data_K7Au3
_space_group_name_H-M_alt 'P 63 m c'
_space_group_IT_number 186
_space_group_name_Hall 'P 6c -2c'
_cell_length_a 11.8332
_cell_length_b 11.8332
_cell_length_c 7.3285
_cell_angle_alpha 90.00
_cell_angle_beta 90.00
_cell_angle_gamma 120.00
loop_
_atom_site_label
_atom_site_fract_x
_atom_site_fract_y
_atom_site_fract_z
K1 0.0761 0.5380 0.0000
K2 0.1260 0.2520 0.7055
K3 0.3333 0.6667 0.4719
Au1 0.1872 0.3744 0.2681
```

For Lu2Ga5Ni12, a DFT-relaxed cell (PBE, OQMD) gives the computed PXRD pattern in this record (λ = 1.5418 Å (Cu Kα)).

The 10 most intense peaks (10 to 80 degrees two-theta), sorted by position:
(hkl)  2θ/deg  intensity
1 1 2  30.3  35
3 0 0  37.0  43
2 0 3  41.1  28
2 2 0  43.0  57
3 0 2  43.2  100
0 0 4  43.9  29
2 2 2  48.6  20
2 2 4  63.1  16
3 3 2  71.0  19
6 0 0  78.8  20

Crystal structure
```
data_Lu2Ga5Ni12
_space_group_name_H-M_alt 'P 63/m m c'
_space_group_IT_number 194
_space_group_name_Hall '-P 6c 2c'
_cell_length_a 8.4165
_cell_length_b 8.4165
_cell_length_c 8.2559
_cell_angle_alpha 90.00
_cell_angle_beta 90.00
_cell_angle_gamma 120.00
loop_
_atom_site_label
_atom_site_fract_x
_atom_site_fract_y
_atom_site_fract_z
Lu1 0.0000 0.0000 0.2500
Lu2 0.3333 0.6667 0.2500
Ga1 0.0000 0.5000 0.0000
Ga2 0.3333 0.6667 0.6054
Ni1 0.0277 0.3531 0.7500
Ni2 0.1662 0.3324 0.0155
```

For NbSe4, a DFT-relaxed cell (PBE, OQMD) gives the computed PXRD pattern in this record (λ = 1.5418 Å (Cu Kα)).

The 10 most intense peaks (10 to 80 degrees two-theta), sorted by position:
(hkl)  2θ/deg  intensity
1 0 0  14.8  58
0 0 2  27.6  23
1 1 2  35.0  39
2 1 1  36.4  100
2 0 2  41.2  23
2 1 2  44.0  18
3 1 0  48.2  27
2 1 3  54.7  30
4 0 2  69.3  14
3 3 2  73.4  14

Crystal structure
```
data_NbSe4
_space_group_name_H-M_alt 'P 4/m c c'
_space_group_IT_number 124
_space_group_name_Hall '-P 4 2c'
_cell_length_a 5.973
_cell_length_b 5.973
_cell_length_c 6.465
_cell_angle_alpha 90.00
_cell_angle_beta 90.00
_cell_angle_gamma 90.00
loop_
_atom_site_label
_atom_site_fract_x
_atom_site_fract_y
_atom_site_fract_z
Nb1 0.000 0.000 0.250
Se1 0.136 0.335 0.000
```

For Sm3In3Ag2Au, a DFT-relaxed cell (PBE, OQMD) gives the computed PXRD pattern in this record (λ = 1.5418 Å (Cu Kα)).

The 10 most intense peaks (10 to 80 degrees two-theta), sorted by position:
(hkl)  2θ/deg  intensity
1 1 1  31.6  85
2 0 1  34.3  100
2 1 0  34.9  37
3 0 0  39.8  46
2 1 1  41.5  37
0 0 2  44.3  26
2 1 2  57.6  17
3 0 2  61.0  25
3 2 1  63.8  36
5 0 1  73.3  12

Crystal structure
```
data_Sm3In3Ag2Au
_space_group_name_H-M_alt 'P -6 2 m'
_space_group_IT_number 189
_space_group_name_Hall 'P -6 -2'
_cell_length_a 7.8546
_cell_length_b 7.8546
_cell_length_c 4.0896
_cell_angle_alpha 90.00
_cell_angle_beta 90.00
_cell_angle_gamma 120.00
loop_
_atom_site_label
_atom_site_fract_x
_atom_site_fract_y
_atom_site_fract_z
Sm1 0.0000 0.5959 0.0000
In1 0.0000 0.2588 0.5000
Ag1 0.3333 0.6667 0.5000
Au1 0.0000 0.0000 0.0000
```

For TmZrZnCo2, a DFT-relaxed cell (PBE, OQMD) gives the computed PXRD pattern in this record (λ = 1.5418 Å (Cu Kα)).

The 10 most intense peaks (10 to 80 degrees two-theta), sorted by position:
(hkl)  2θ/deg  intensity
1 1 0  27.8  26
0 2 0  33.6  14
1 1 2  36.4  100
0 1 3  38.9  23
0 2 2  41.2  25
1 0 3  41.7  19
1 2 1  42.3  43
2 0 0  45.1  27
2 2 2  62.7  18
1 2 5  75.0  21

Crystal structure
```
data_TmZrZnCo2
_space_group_name_H-M_alt 'I m m 2'
_space_group_IT_number 44
_cell_length_a 4.023
_cell_length_b 5.333
_cell_length_c 7.708
_cell_angle_alpha 90.00
_cell_angle_beta 90.00
_cell_angle_gamma 90.00
loop_
_space_group_symop_operation_xyz
'x,y,z'
'-x,-y,z'
'-x,y,z'
'x,-y,z'
'x+1/2,y+1/2,z+1/2'
'-x+1/2,-y+1/2,z+1/2'
'-x+1/2,y+1/2,z+1/2'
'x+1/2,-y+1/2,z+1/2'
loop_
_atom_site_label
_atom_site_fract_x
_atom_site_fract_y
_atom_site_fract_z
Tm1 0.000 0.000 0.000
Zr1 0.000 0.000 0.415
Zn1 0.000 0.500 0.205
Co1 0.000 0.283 0.710
```